[1]
Starting from a crystal structure in Alexandria, relaxed with GGA-PBE, the powder X-ray diffraction pattern of Cs3CdAg was calculated for copper Kα.
Peak positions follow from Bragg's law for the DFT cell and can differ from measured ones.

Structure:
```
Cs3CdAg
1.0
5.123 0.000 0.000
0.000 11.388 0.000
0.000 0.000 10.884
Cs Cd Ag
6 2 2
Cartesian
1.281 0.599 1.808
1.281 5.095 1.808
1.281 8.541 4.765
3.842 2.847 6.119
3.842 6.294 9.076
3.842 10.789 9.076
1.281 2.847 9.326
3.842 8.541 1.558
1.281 8.541 0.303
3.842 2.847 10.581
```

Largest 12 diffraction maxima, in order of rising 2θ, 2θ = 10–80°:
d (Å), 2θ/deg, Rel. int.
4.635, 19.1, 37
3.934, 22.6, 46
3.628, 24.5, 25
3.588, 24.8, 96
3.545, 25.1, 66
3.119, 28.6, 100
3.052, 29.3, 45
2.866, 31.2, 30
2.847, 31.4, 23
2.562, 35.0, 37
2.084, 43.4, 27
1.890, 48.1, 39

[2]
Starting from a crystal structure in Alexandria, relaxed with GGA-PBE, the powder X-ray diffraction pattern of TbPm4Pr2Y2 was calculated for copper Kα.
Peak positions follow from Bragg's law for the DFT cell and can differ from measured ones.

Structure:
```
TbPm4Pr2Y2
1.0
9.515 -1.838 0.000
9.515 1.838 0.000
-4.229 0.000 8.793
Tb Pm Pr Y
1 4 2 2
Cartesian
0.000 0.000 0.000
2.119 0.000 2.938
6.345 0.000 5.860
8.456 0.000 2.933
12.681 0.000 5.855
6.360 0.000 0.006
8.440 0.000 8.787
-0.013 0.000 5.850
14.814 0.000 2.943
```

Largest 12 diffraction maxima, in order of rising 2θ, 2θ = 10–80°:
d (Å), 2θ/deg, Rel. int.
3.154, 28.3, 41
2.931, 30.5, 49
2.862, 31.2, 100
2.722, 32.9, 88
2.288, 39.4, 16
2.029, 44.7, 12
1.838, 49.6, 13
1.833, 49.8, 25
1.710, 53.6, 21
1.621, 56.8, 19
1.557, 59.4, 15
1.554, 59.5, 29

[3]
Starting from a crystal structure in Alexandria, relaxed with GGA-PBE, the powder X-ray diffraction pattern of TlIn4Pb4 was calculated for copper Kα.
Peak positions follow from Bragg's law for the DFT cell and can differ from measured ones.

Structure:
```
TlIn4Pb4
1.0
-5.248 5.248 2.427
5.248 -5.248 2.427
5.248 5.248 -2.427
Tl In Pb
1 4 4
Cartesian
0.000 0.000 0.000
3.543 0.000 0.000
6.953 0.000 0.000
0.000 3.543 0.000
0.000 6.953 0.000
3.472 3.472 0.000
1.776 -1.776 2.427
-1.776 1.776 2.427
1.776 1.776 2.427
```

Largest 12 diffraction maxima, in order of rising 2θ, 2θ = 10–80°:
d (Å), 2θ/deg, Rel. int.
7.421, 11.9, 4
3.711, 24.0, 2
3.374, 26.4, 4
2.838, 31.5, 100
2.474, 36.3, 34
2.427, 37.0, 16
1.749, 52.3, 12
1.732, 52.8, 24
1.489, 62.4, 28
1.469, 63.3, 14
1.419, 65.8, 12
1.237, 77.1, 4

[4]
Starting from a crystal structure in Alexandria, relaxed with GGA-PBE, the powder X-ray diffraction pattern of SbW3 was calculated for copper Kα.
Peak positions follow from Bragg's law for the DFT cell and can differ from measured ones.

Structure:
```
SbW3
1.0
-1.657 2.213 4.645
1.657 -2.213 4.645
1.657 2.213 -4.645
Sb W
1 3
Cartesian
0.000 0.000 0.000
1.657 0.000 2.351
0.000 0.000 4.645
0.000 2.213 2.294
```

Largest 12 diffraction maxima, in order of rising 2θ, 2θ = 10–80°:
d (Å), 2θ/deg, Rel. int.
4.645, 19.1, 1
3.996, 22.2, 2
2.323, 38.8, 26
2.303, 39.1, 100
2.262, 39.8, 1
2.213, 40.8, 22
1.657, 55.5, 9
1.602, 57.5, 16
1.349, 69.7, 9
1.337, 70.4, 18
1.326, 71.1, 9
1.294, 73.1, 16

[5]
Starting from a crystal structure in Alexandria, relaxed with GGA-PBE, the powder X-ray diffraction pattern of Dy4InPd2 was calculated for copper Kα.
Peak positions follow from Bragg's law for the DFT cell and can differ from measured ones.

Structure:
```
Dy4InPd2
1.0
2.413 1.393 9.412
-2.413 1.393 9.412
0.000 -2.786 9.412
Dy In Pd
4 1 2
Cartesian
0.000 0.000 3.276
0.000 0.000 8.362
0.000 0.000 19.875
0.000 0.000 24.961
0.000 0.000 14.118
0.000 0.000 11.292
0.000 0.000 16.945
```

Largest 12 diffraction maxima, in order of rising 2θ, 2θ = 10–80°:
d (Å), 2θ/deg, Rel. int.
3.597, 24.8, 18
3.360, 26.5, 63
2.903, 30.8, 22
2.413, 37.3, 100
2.340, 38.5, 64
1.960, 46.3, 14
1.680, 54.6, 23
1.543, 59.9, 12
1.521, 60.9, 13
1.393, 67.2, 18
1.379, 68.0, 24
1.207, 79.4, 11

> Number 1 is which compound?

Cs3CdAg